Entry 1:
Structure and calculated powder diffraction line list of CsNd2CuSe3S (a structure optimized by DFT (GGA-PBE); Cu Kα, 1.54184 Å).
Neutral-atom scattering factors, no anomalous dispersion.

Crystal structure
Cell lengths 4.2242, 14.8652, 14.5742 Å; angles 90.00, 90.00, 90.00 degrees
Space group Cmcm (No. 63)
Symmetry-distinct sites (fractional):
Cs 0.0000 0.0991 0.2500 x4
Nd 0.0000 0.3656 0.0654 x8
Cu 0.0000 0.1617 0.7500 x4
Se 0.0000 0.0000 0.0000 x4
Se 0.0000 0.2614 0.6120 x8
S 0.0000 0.4164 0.2500 x4

Main lines, in order of rising 2θ (10 to 90 degrees two-theta):
21.86 deg, I = 72, hkl 0 2 3; 25.09 deg, I = 35, hkl 1 1 2; 27.26 deg, I = 36, hkl 0 2 4; 27.75 deg, I = 30, hkl 1 3 0; 28.43 deg, I = 97, hkl 1 3 1; 30.39 deg, I = 100, hkl 1 3 2; 33.02 deg, I = 47, hkl 0 2 5; 37.99 deg, I = 35, hkl 1 1 5; 41.54 deg, I = 69, hkl 1 5 3; 42.82 deg, I = 45, hkl 2 0 0

---

Entry 2:
Structure and calculated powder diffraction line list of Li4GaCuPd2 (a structure optimized by DFT (GGA-PBE); Cu Kα, 1.54184 Å).
Neutral-atom scattering factors, no anomalous dispersion.

Crystal structure
Cell lengths 4.2934, 4.2934, 5.9843 Å; angles 90.00, 90.00, 90.00 degrees
Space group P-4m2 (No. 115)
Symmetry-distinct sites (fractional):
Li 0.0000 0.0000 0.0000 x1
Li 0.0000 0.5000 0.2388 x2
Li 0.5000 0.5000 0.5000 x1
Ga 0.0000 0.0000 0.5000 x1
Cu 0.5000 0.5000 0.0000 x1
Pd 0.0000 0.5000 0.7430 x2

Main lines, in order of rising 2θ (10 to 90 degrees two-theta):
25.53 deg, I = 100, hkl 1 0 1; 42.09 deg, I = 31, hkl 2 0 0; 42.42 deg, I = 60, hkl 1 1 2; 49.88 deg, I = 31, hkl 2 1 1; 50.45 deg, I = 15, hkl 1 0 3; 61.04 deg, I = 10, hkl 2 2 0; 67.74 deg, I = 12, hkl 2 1 3; 77.15 deg, I = 19, hkl 3 1 2; 77.82 deg, I = 9, hkl 2 0 4; 82.62 deg, I = 7, hkl 3 2 1

---

Entry 3:
Structure and calculated powder diffraction line list of Sr2Zr2Ni3 (a structure optimized by DFT (GGA-PBE); Cu Kα, 1.54184 Å).
Neutral-atom scattering factors, no anomalous dispersion.

Crystal structure
Cell lengths 4.6602, 4.6602, 25.2685 Å; angles 90.00, 90.00, 120.00 degrees
Space group R3m (No. 160, hexagonal axes)
Symmetry-distinct sites (fractional):
Sr 0.0000 0.0000 0.0000 x3
Sr 0.0000 0.0000 0.4932 x3
Zr 0.0000 0.0000 0.2543 x3
Zr 0.0000 0.0000 0.7296 x3
Ni 0.0000 0.0000 0.3726 x3
Ni 0.0000 0.0000 0.6165 x3
Ni 0.0000 0.0000 0.8909 x3

Main lines, in order of rising 2θ (10 to 90 degrees two-theta):
10.50 deg, I = 35, hkl 0 0 3; 26.20 deg, I = 26, hkl 1 0 4; 36.11 deg, I = 92, hkl 0 1 8; 38.64 deg, I = 100, hkl 1 1 0; 45.44 deg, I = 13, hkl 0 1 11; 50.93 deg, I = 10, hkl 1 1 9; 53.92 deg, I = 28, hkl 2 0 8; 68.28 deg, I = 27, hkl 1 2 8; 69.93 deg, I = 16, hkl 3 0 0; 82.86 deg, I = 10, hkl 2 2 0

---

Entry 4:
Structure and calculated powder diffraction line list of HoErInC (a structure optimized by DFT (GGA-PBE); Cu Kα, 1.54184 Å).
Neutral-atom scattering factors, no anomalous dispersion.

Crystal structure
Cell lengths 3.5749, 3.5749, 16.2179 Å; angles 90.00, 90.00, 120.00 degrees
Space group P-6m2 (No. 187)
Symmetry-distinct sites (fractional):
Ho 0.0000 0.0000 0.1678 x2
Er 0.3333 0.6667 0.3330 x2
In 0.0000 0.0000 0.5000 x1
In 0.3333 0.6667 0.0000 x1
C 0.6667 0.3333 0.2505 x2

Main lines, in order of rising 2θ (10 to 90 degrees two-theta):
28.84 deg, I = 22, hkl 1 0 0; 33.14 deg, I = 21, hkl 0 0 6; 33.35 deg, I = 100, hkl 1 0 3; 44.50 deg, I = 16, hkl 1 0 6; 51.10 deg, I = 21, hkl 1 1 0; 59.34 deg, I = 19, hkl 1 0 9; 62.27 deg, I = 21, hkl 1 1 6; 62.40 deg, I = 16, hkl 2 0 3; 82.07 deg, I = 8, hkl 2 0 9; 84.76 deg, I = 14, hkl 2 1 3